The following is a calculated powder diffractogram of AuS5N5Cl4. It was derived from a cell relaxed with PBE, using Cu Kα.
Lines closer than 0.1° are merged.

Structure:
```
AuS5N5Cl4
1.0
5.9907 0.0000 0.0000
0.0000 12.1935 0.0000
-2.1114 0.0000 10.5504
Au S N Cl
2 10 10 8
Direct
0.1596 0.2500 0.2918 Au
0.8404 0.7500 0.7082 Au
0.1150 0.6300 0.3516 S
0.1150 0.8700 0.3516 S
0.3776 0.2500 0.9530 S
0.4118 0.5634 0.1761 S
0.4118 0.9366 0.1761 S
0.5882 0.0634 0.8239 S
0.5882 0.4366 0.8239 S
0.6224 0.7500 0.0470 S
0.8850 0.1300 0.6484 S
0.8850 0.3700 0.6484 S
0.0471 0.7500 0.3878 N
0.2743 0.6378 0.2524 N
0.2743 0.8622 0.2524 N
0.4515 0.1357 0.9051 N
0.4515 0.3643 0.9051 N
0.5485 0.6357 0.0949 N
0.5485 0.8643 0.0949 N
0.7257 0.1378 0.7476 N
0.7257 0.3622 0.7476 N
0.9529 0.2500 0.6122 N
0.0417 0.6149 0.8353 Cl
0.0417 0.8851 0.8353 Cl
0.3641 0.1154 0.4184 Cl
0.3641 0.3846 0.4184 Cl
0.6359 0.6154 0.5816 Cl
0.6359 0.8846 0.5816 Cl
0.9583 0.1149 0.1647 Cl
0.9583 0.3851 0.1647 Cl
```

Largest 10 diffraction maxima, most intense first, 10° ≤ 2θ ≤ 90°:
d [Å]	Position (°2θ)	I (rel.)	(hkl)
5.283	16.78	100	0 0 2
4.751	18.68	92	1 0 1
4.375	20.30	86	1 0 -2
7.978	11.09	86	0 1 1
2.691	33.30	64	1 3 2
5.106	17.37	55	1 1 -1
6.097	14.53	54	0 2 0
3.554	25.05	51	1 2 -2
5.623	15.76	50	1 0 -1
4.120	21.57	45	1 1 -2